This entry pairs a crystal structure of PrNd8Hg2 with its simulated powder X-ray diffraction pattern. Radiation: Cu Kα X-rays. Structure: a crystal structure in Alexandria, relaxed with GGA-PBE.
Intensities are scaled so that the largest is 100.

Cell lengths 8.9961, 15.3030, 5.8096 Å; angles 90.00, 111.06, 90.00 degrees
Space group C2/m (No. 12)
Inequivalent atoms, fractional coordinates:
Pr 0.0000 0.0000 0.0000 (multiplicity 2)
Nd 0.0000 0.2269 0.0000 (multiplicity 4)
Nd 0.0978 0.5000 0.7994 (multiplicity 4)
Nd 0.2037 0.1137 0.6050 (multiplicity 8)
Hg 0.0000 0.3062 0.5000 (multiplicity 4)

The 10 most intense peaks (10 to 90 degrees two-theta), low angle first:
| 2theta | intensity | index |
| --- | --- | --- |
| 24.18 | 21 | 2 2 0 |
| 28.56 | 96 | 0 4 1 |
| 30.79 | 74 | 3 1 -1 |
| 31.34 | 64 | 2 0 1 |
| 31.64 | 64 | 2 4 0 |
| 33.43 | 100 | 1 5 -1 |
| 34.36 | 21 | 2 2 -2 |
| 35.11 | 27 | 0 2 2 |
| 42.45 | 22 | 1 3 2 |
| 58.01 | 23 | 2 8 1 |